Diffraction record for CsRb9Hg2. The X-ray powder pattern is theoretical, not measured: it uses DFT lattice parameters and positions (GGA-PBE) and copper Kα.
Intensities are scaled so that the largest is 100.

Most intense lines, 2θ from 10° to 90°, by intensity:
| index | d (Å) | 2θ/deg | I/Imax |
| --- | --- | --- | --- |
| 2 1 1 | 3.509 | 25.4 | 100 |
| 1 1 1 | 4.363 | 20.4 | 96 |
| 3 0 1 | 3.235 | 27.6 | 93 |
| 2 2 0 | 3.410 | 26.1 | 90 |
| 1 1 0 | 6.820 | 13.0 | 81 |
| 2 2 2 | 2.181 | 41.4 | 76 |
| 2 2 1 | 2.923 | 30.6 | 66 |
| 2 0 1 | 4.092 | 21.7 | 56 |
| 6 0 1 | 1.860 | 49.0 | 40 |
| 0 0 2 | 2.838 | 31.5 | 39 |
| 4 1 1 | 2.347 | 38.4 | 31 |
| 3 3 0 | 2.273 | 39.6 | 30 |

Cell and atoms:
```
CsRb9Hg2
1.0
13.6408 0.0000 0.0000
-6.8204 11.8132 0.0000
0.0000 0.0000 5.6753
Cs Rb Hg
1 9 2
Direct
0.0000 0.0000 0.0000 Cs
0.0000 0.5000 0.0000 Rb
0.2127 0.4253 0.5000 Rb
0.2127 0.7873 0.5000 Rb
0.4253 0.2127 0.5000 Rb
0.5000 0.0000 0.0000 Rb
0.5000 0.5000 0.0000 Rb
0.5747 0.7873 0.5000 Rb
0.7873 0.2127 0.5000 Rb
0.7873 0.5747 0.5000 Rb
0.3333 0.6667 0.0000 Hg
0.6667 0.3333 0.0000 Hg
```